[1]
This entry pairs a crystal structure of Pm5Al4 with its computed XRD peak list. Radiation: copper Kα. Structure: a PBE-relaxed structure.
Intensities are scaled so that the largest is 100.

Structural model:
a = 10.9892 Å, b = 4.8082 Å, c = 10.6211 Å
α = 90.00°, β = 117.95°, γ = 90.00°
Space group C2/m (No. 12)
One atom of each set of equivalent atoms:
Pm  0.0000  0.0000  0.0000 (multiplicity 2)
Pm  0.1076  0.0000  0.4092 (multiplicity 4)
Pm  0.2410  0.0000  0.8332 (multiplicity 4)
Al  0.0396  0.5000  0.8257 (multiplicity 4)
Al  0.1157  0.5000  0.6245 (multiplicity 4)

Top 12 peaks for 5 to 70 degrees two-theta, low angle first:
2θ = 20.6°, intensity 26
2θ = 25.7°, intensity 37
2θ = 30.9°, intensity 100
2θ = 31.7°, intensity 16
2θ = 32.2°, intensity 15
2θ = 33.5°, intensity 18
2θ = 34.5°, intensity 23
2θ = 37.4°, intensity 23
2θ = 45.9°, intensity 16
2θ = 48.5°, intensity 14
2θ = 51.1°, intensity 11
2θ = 63.4°, intensity 15

[2]
This entry pairs a crystal structure of TbCeCCl with its computed XRD peak list. Radiation: copper Kα. Structure: a PBE-relaxed structure.
Intensities are scaled so that the largest is 100.

Structural model:
a = 3.6360 Å, b = 3.6360 Å, c = 21.5564 Å
α = 90.00°, β = 90.00°, γ = 120.00°
Space group R3m (No. 160, hexagonal axes)
One atom of each set of equivalent atoms:
Tb  0.0000  0.0000  0.0000 (multiplicity 3)
Ce  0.0000  0.0000  0.2070 (multiplicity 3)
C  0.0000  0.0000  0.6053 (multiplicity 3)
Cl  0.0000  0.0000  0.4285 (multiplicity 3)

Top 12 peaks for 5 to 70 degrees two-theta, low angle first:
2θ = 12.3°, intensity 29
2θ = 24.8°, intensity 21
2θ = 28.6°, intensity 69
2θ = 32.9°, intensity 72
2θ = 35.3°, intensity 100
2θ = 37.6°, intensity 22
2θ = 50.2°, intensity 38
2θ = 51.4°, intensity 28
2θ = 56.8°, intensity 14
2θ = 62.8°, intensity 18
2θ = 64.3°, intensity 27
2θ = 67.7°, intensity 13